No. 1
Theoretical X-ray diffraction stick pattern of Al2Zn2O5 for a wavelength of 1.5418 Å, from the GGA-PBE geometry in OQMD.
Kinematic intensities with the Lorentz-polarization factor, no thermal factor.

Structure:
```
9
Lattice="3.564 0.000 0.000 0.000 3.564 0.000 0.000 0.000 7.078" Properties=species:S:1:pos:R:3 pbc="T T T"
Al 0.000 0.000 1.747
Al 0.000 0.000 5.331
Zn 1.782 1.782 0.000
Zn 1.782 1.782 3.539
O 0.000 0.000 3.539
O 0.000 1.782 1.385
O 0.000 1.782 5.693
O 1.782 0.000 1.385
O 1.782 0.000 5.693
```

Largest 6 diffraction maxima, in order of rising 2θ, 10 to 90 degrees two-theta:
d_spacing  2θ (°)  intensity
2.520  35.63  34
2.511  35.76  100
2.053  44.12  39
1.782  51.27  39
1.453  64.08  35
1.448  64.33  20

---

No. 2
Theoretical X-ray diffraction stick pattern of Al11Os3 for a wavelength of 1.5418 Å, from the GGA-PBE geometry in OQMD.
Kinematic intensities with the Lorentz-polarization factor, no thermal factor.

Structure:
```
14
Lattice="-2.120 4.169 6.217 2.120 -4.169 6.217 2.120 4.169 -6.217" Properties=species:S:1:pos:R:3 pbc="T T T"
Al 0.000 0.000 0.000
Al 2.120 2.830 -2.646
Al 2.120 0.000 2.106
Al 2.120 -1.447 4.992
Al 0.000 2.722 1.225
Al 0.000 1.339 3.571
Al 2.120 2.830 2.646
Al 2.120 1.447 4.992
Al 0.000 5.617 1.225
Al 0.000 4.169 4.111
Al 0.000 1.339 8.862
Os 2.120 1.517 0.000
Os 0.000 0.000 6.217
Os 0.000 2.652 6.217
```

Largest 6 diffraction maxima, in order of rising 2θ, 10 to 90 degrees two-theta:
d_spacing  2θ (°)  intensity
6.217  14.25  100
4.013  22.15  74
2.964  30.15  27
2.308  39.02  32
2.177  41.47  64
2.145  42.13  34

---

No. 3
Theoretical X-ray diffraction stick pattern of Al2TcOs for a wavelength of 1.5418 Å, from the GGA-PBE geometry in OQMD.
Kinematic intensities with the Lorentz-polarization factor, no thermal factor.

Structure:
```
16
Lattice="6.130 0.000 0.000 0.000 6.130 0.000 0.000 0.000 6.130" Properties=species:S:1:pos:R:3 pbc="T T T"
Al 0.000 0.000 0.000
Al 0.000 3.065 3.065
Al 1.532 1.532 1.532
Al 1.532 4.597 4.597
Al 3.065 0.000 3.065
Al 3.065 3.065 0.000
Al 4.597 1.532 4.597
Al 4.597 4.597 1.532
Tc 0.000 0.000 3.065
Tc 0.000 3.065 0.000
Tc 3.065 0.000 0.000
Tc 3.065 3.065 3.065
Os 1.532 1.532 4.597
Os 1.532 4.597 1.532
Os 4.597 1.532 1.532
Os 4.597 4.597 4.597
```

Largest 6 diffraction maxima, in order of rising 2θ, 10 to 90 degrees two-theta:
d_spacing  2θ (°)  intensity
3.539  25.16  66
2.167  41.68  100
1.848  49.31  33
1.532  60.41  17
1.406  66.49  14
1.251  76.07  34